Structure and calculated powder diffractogram of Rb12PaO7 (a DFT-relaxed cell (GGA-PBE, Alexandria); Cu Ka).

Main lines, in order of rising 2θ (2θ = 10–90°):
2θ 10.65, I = 100
2θ 23.96, I = 48
2θ 26.22, I = 23
2θ 28.41, I = 64
2θ 37.50, I = 17
2θ 57.67, I = 21

Atomic structure:
Unit cell a=10.172 b=10.172 c=10.172 alpha=109.42 beta=109.42 gamma=109.42
Fractional positions:
Rb 0.070 0.750 0.194
Rb 0.182 0.365 0.421
Rb 0.194 0.070 0.750
Rb 0.250 0.806 0.930
Rb 0.365 0.421 0.182
Rb 0.421 0.182 0.365
Rb 0.579 0.818 0.635
Rb 0.635 0.579 0.818
Rb 0.750 0.194 0.070
Rb 0.806 0.930 0.250
Rb 0.818 0.635 0.579
Rb 0.930 0.250 0.806
Pa 0.000 0.000 0.000
O 0.035 0.248 0.085
O 0.085 0.035 0.248
O 0.248 0.085 0.035
O 0.500 0.500 0.500
O 0.752 0.915 0.965
O 0.915 0.965 0.752
O 0.965 0.752 0.915

Structure and calculated powder diffractogram of Rb3PaSb2O8 (a DFT-relaxed cell (GGA-PBE, Alexandria); Cu Ka).

Main lines, in order of rising 2θ (2θ = 10–90°):
2θ 10.61, I = 26
2θ 19.03, I = 24
2θ 26.61, I = 99
2θ 27.45, I = 100
2θ 38.61, I = 40
2θ 48.02, I = 42

Atomic structure:
Unit cell a=6.498 b=6.498 c=8.338 alpha=90.00 beta=90.00 gamma=120.00
Fractional positions:
Rb 0.000 0.000 0.000
Rb 0.333 0.667 0.759
Rb 0.667 0.333 0.241
Pa 0.000 0.000 0.500
Sb 0.333 0.667 0.295
Sb 0.667 0.333 0.705
O 0.154 0.308 0.340
O 0.154 0.846 0.340
O 0.308 0.154 0.660
O 0.333 0.667 0.070
O 0.667 0.333 0.930
O 0.692 0.846 0.340
O 0.846 0.154 0.660
O 0.846 0.692 0.660

Structure and calculated powder diffractogram of Rb2PaSnO6 (a DFT-relaxed cell (GGA-PBE, Alexandria); Cu Ka).

Main lines, in order of rising 2θ (2θ = 10–90°):
2θ 20.47, I = 22
2θ 29.11, I = 52
2θ 29.35, I = 100
2θ 41.64, I = 32
2θ 51.76, I = 43
2θ 52.20, I = 20

Atomic structure:
Unit cell a=4.338 b=4.338 c=8.540 alpha=90.00 beta=90.00 gamma=90.00
Fractional positions:
Rb 0.000 0.000 0.236
Rb 0.000 0.000 0.764
Pa 0.500 0.500 0.500
Sn 0.500 0.500 0.000
O 0.000 0.500 0.000
O 0.000 0.500 0.500
O 0.500 0.000 0.000
O 0.500 0.000 0.500
O 0.500 0.500 0.243
O 0.500 0.500 0.757

Structure and calculated powder diffractogram of Rb2PaTa3O12 (a DFT-relaxed cell (GGA-PBE, Alexandria); Cu Ka).

Main lines, in order of rising 2θ (2θ = 10–90°):
2θ 14.30, I = 92
2θ 27.03, I = 61
2θ 27.44, I = 96
2θ 28.83, I = 100
2θ 47.12, I = 40
2θ 48.13, I = 42

Atomic structure:
Unit cell a=7.718 b=7.718 c=7.718 alpha=58.67 beta=58.67 gamma=58.67
Fractional positions:
Rb 0.115 0.115 0.115
Rb 0.885 0.885 0.885
Pa 0.500 0.500 0.500
Ta 0.000 0.500 0.500
Ta 0.500 0.000 0.500
Ta 0.500 0.500 0.000
O 0.165 0.571 0.571
O 0.194 0.194 0.567
O 0.194 0.567 0.194
O 0.429 0.429 0.835
O 0.429 0.835 0.429
O 0.433 0.806 0.806
O 0.567 0.194 0.194
O 0.571 0.165 0.571
O 0.571 0.571 0.165
O 0.806 0.433 0.806
O 0.806 0.806 0.433
O 0.835 0.429 0.429

Structure and calculated powder diffractogram of Rb2PaTcO6 (a DFT-relaxed cell (GGA-PBE, Alexandria); Cu Ka).

Main lines, in order of rising 2θ (2θ = 10–90°):
2θ 29.43, I = 100
2θ 30.20, I = 47
2θ 43.24, I = 29
2θ 51.73, I = 20
2θ 53.17, I = 39
2θ 61.08, I = 18

Atomic structure:
Unit cell a=5.918 b=5.918 c=4.406 alpha=90.00 beta=90.00 gamma=90.00
Fractional positions:
Rb 0.000 0.500 0.000
Rb 0.500 0.000 0.000
Pa 0.000 0.000 0.508
Tc 0.500 0.500 0.461
O 0.000 0.000 0.009
O 0.263 0.263 0.510
O 0.263 0.737 0.510
O 0.500 0.500 0.052
O 0.737 0.263 0.510
O 0.737 0.737 0.510

Structure and calculated powder diffractogram of RbPaTe2O6 (a DFT-relaxed cell (GGA-PBE, Alexandria); Cu Ka).

Main lines, in order of rising 2θ (2θ = 10–90°):
2θ 12.13, I = 37
2θ 25.83, I = 61
2θ 26.89, I = 100
2θ 28.73, I = 52
2θ 29.76, I = 64
2θ 44.29, I = 26

Atomic structure:
Unit cell a=8.269 b=8.269 c=6.363 alpha=100.55 beta=100.55 gamma=62.68
Fractional positions:
Rb 0.111 0.889 0.750
Rb 0.889 0.111 0.250
Pa 0.408 0.592 0.250
Pa 0.592 0.408 0.750
Te 0.074 0.400 0.780
Te 0.400 0.074 0.280
Te 0.600 0.926 0.720
Te 0.926 0.600 0.220
O 0.127 0.675 0.306
O 0.171 0.248 0.368
O 0.248 0.171 0.868
O 0.325 0.873 0.194
O 0.341 0.514 0.907
O 0.486 0.659 0.593
O 0.514 0.341 0.407
O 0.659 0.486 0.093
O 0.675 0.127 0.806
O 0.752 0.829 0.132
O 0.829 0.752 0.632
O 0.873 0.325 0.694

Structure and calculated powder diffractogram of RbThPa2O8 (a DFT-relaxed cell (GGA-PBE, Alexandria); Cu Ka).

Main lines, in order of rising 2θ (2θ = 10–90°):
2θ 27.66, I = 100
2θ 31.75, I = 24
2θ 45.52, I = 17
2θ 46.16, I = 34
2θ 54.10, I = 32
2θ 55.22, I = 15

Atomic structure:
Unit cell a=6.785 b=6.785 c=6.785 alpha=130.92 beta=130.92 gamma=71.94
Fractional positions:
Rb 0.000 0.000 0.000
Th 0.250 0.750 0.500
Pa 0.500 0.500 0.000
Pa 0.750 0.250 0.500
O 0.134 0.149 0.547
O 0.134 0.587 0.985
O 0.413 0.399 0.547
O 0.413 0.866 0.015
O 0.601 0.149 0.015
O 0.601 0.587 0.453
O 0.851 0.399 0.985
O 0.851 0.866 0.453

Structure and calculated powder diffractogram of RbUPaO6 (a DFT-relaxed cell (GGA-PBE, Alexandria); Cu Ka).

Main lines, in order of rising 2θ (2θ = 10–90°):
2θ 13.54, I = 95
2θ 26.06, I = 100
2θ 26.15, I = 45
2θ 27.21, I = 49
2θ 27.35, I = 56
2θ 45.29, I = 43

Atomic structure:
Unit cell a=8.009 b=8.009 c=8.009 alpha=120.26 beta=119.76 gamma=89.98
Fractional positions:
Rb 0.359 0.109 0.250
Rb 0.641 0.891 0.750
U 0.000 0.500 0.500
U 0.500 0.500 0.000
Pa 0.000 0.000 0.500
Pa 0.000 0.500 0.000
O 0.068 0.437 0.260
O 0.068 0.808 0.631
O 0.071 0.821 0.250
O 0.309 0.559 0.750
O 0.323 0.192 0.760
O 0.323 0.563 0.131
O 0.677 0.437 0.869
O 0.677 0.808 0.240
O 0.691 0.441 0.250
O 0.929 0.179 0.750
O 0.932 0.192 0.369
O 0.932 0.563 0.740